1.
Diffraction record for LaTl2Sb2O6. The powder X-ray diffraction pattern is simulated, not measured: it uses the PBE geometry in Alexandria and CuKα.
Intensities are scaled so that the largest is 100.

Atomic structure:
```
data_LaTl2Sb2O6
_chemical_formula_sum 'La2 Tl4 Sb4 O12'
_space_group_name_H-M_alt 'C 1 2/m 1'
_space_group_IT_number 12
_space_group_name_Hall '-C 2y'
_cell_length_a 10.311
_cell_length_b 6.454
_cell_length_c 8.113
_cell_angle_alpha 90.00
_cell_angle_beta 117.63
_cell_angle_gamma 90.00
loop_
_atom_site_label
_atom_site_type_symbol
_atom_site_fract_x
_atom_site_fract_y
_atom_site_fract_z
La1 La 0.000 0.000 0.000
Tl1 Tl 0.218 0.000 0.713
Sb1 Sb 0.056 0.500 0.735
O1 O 0.054 0.275 0.226
O2 O 0.248 0.500 0.954
```

Most intense lines, 10 to 90 degrees two-theta, in order of rising 2θ:
3.794 Å, intensity 64, hkl 1 1 1
3.594 Å, intensity 38, hkl 0 0 2
3.427 Å, intensity 63, hkl 1 1 -2
3.229 Å, intensity 88, hkl 0 2 0
3.031 Å, intensity 100, hkl 3 1 -1
2.364 Å, intensity 26, hkl 3 1 -3
2.284 Å, intensity 35, hkl 2 2 1
1.823 Å, intensity 26, hkl 3 3 -1

=====

2.
Diffraction record for LaScO3. The powder X-ray diffraction pattern is simulated, not measured: it uses the PBE geometry in Alexandria and CuKα.
Intensities are scaled so that the largest is 100.

Atomic structure:
```
data_LaScO3
_chemical_formula_sum 'La4 Sc4 O12'
_space_group_name_H-M_alt 'P n m a'
_space_group_IT_number 62
_space_group_name_Hall '-P 2ac 2n'
_cell_length_a 5.841
_cell_length_b 8.150
_cell_length_c 5.702
_cell_angle_alpha 90.00
_cell_angle_beta 90.00
_cell_angle_gamma 90.00
loop_
_atom_site_label
_atom_site_type_symbol
_atom_site_fract_x
_atom_site_fract_y
_atom_site_fract_z
La1 La 0.046 0.250 0.012
Sc1 Sc 0.000 0.000 0.500
O1 O 0.036 0.750 0.398
O2 O 0.203 0.555 0.797
```

Most intense lines, 10 to 90 degrees two-theta, in order of rising 2θ:
4.078 Å, intensity 40, hkl 0 2 0
2.921 Å, intensity 22, hkl 2 0 0
2.883 Å, intensity 100, hkl 1 2 1
2.851 Å, intensity 23, hkl 0 0 2
2.336 Å, intensity 15, hkl 0 2 2
2.039 Å, intensity 38, hkl 0 4 0
1.652 Å, intensity 24, hkl 1 2 3
1.289 Å, intensity 13, hkl 1 6 1

=====

3.
Diffraction record for LaSc2O4. The powder X-ray diffraction pattern is simulated, not measured: it uses the PBE geometry in Alexandria and CuKα.
Intensities are scaled so that the largest is 100.

Atomic structure:
abc: 9.341 9.341 9.341
angles: 90.00 90.00 90.00
Space group Fd-3m (No. 227, origin choice 2)
One atom of each set of equivalent atoms:
La  0.125  0.125  0.125 (multiplicity 8)
Sc  0.000  0.000  0.500 (multiplicity 16)
O  0.017  0.017  0.733 (multiplicity 32)

Most intense lines, 10 to 90 degrees two-theta, in order of rising 2θ:
3.303 Å, intensity 78, hkl 2 2 0
2.817 Å, intensity 100, hkl 3 1 1
1.907 Å, intensity 30, hkl 4 2 2
1.798 Å, intensity 42, hkl 5 1 1
1.651 Å, intensity 38, hkl 4 4 0
1.477 Å, intensity 12, hkl 6 2 0
1.248 Å, intensity 17, hkl 6 4 2
1.216 Å, intensity 19, hkl 5 5 3

=====

4.
Diffraction record for La2Sc2O5. The powder X-ray diffraction pattern is simulated, not measured: it uses the PBE geometry in Alexandria and CuKα.
Intensities are scaled so that the largest is 100.

Atomic structure:
```
data_La2Sc2O5
_chemical_formula_sum 'La8 Sc8 O20'
_space_group_name_H-M_alt 'I m a 2'
_space_group_IT_number 46
_space_group_name_Hall 'I 2 -2a'
_cell_length_a 16.161
_cell_length_b 5.765
_cell_length_c 5.722
_cell_angle_alpha 90.00
_cell_angle_beta 90.00
_cell_angle_gamma 90.00
loop_
_atom_site_label
_atom_site_type_symbol
_atom_site_fract_x
_atom_site_fract_y
_atom_site_fract_z
La1 La 0.129 0.011 0.000
Sc1 Sc 0.000 0.000 0.500
Sc2 Sc 0.250 0.522 0.000
O1 O 0.034 0.250 0.250
O2 O 0.126 0.600 0.001
O3 O 0.250 0.250 0.250
```

Most intense lines, 10 to 90 degrees two-theta, in order of rising 2θ:
4.061 Å, intensity 20, hkl 0 1 1
4.040 Å, intensity 13, hkl 4 0 0
2.882 Å, intensity 18, hkl 0 2 0
2.864 Å, intensity 100, hkl 0 0 2
2.031 Å, intensity 22, hkl 0 2 2
1.661 Å, intensity 18, hkl 4 3 1
1.653 Å, intensity 24, hkl 8 2 0
1.432 Å, intensity 15, hkl 0 0 4

=====

5.
Diffraction record for LaSc2TaO8. The powder X-ray diffraction pattern is simulated, not measured: it uses the PBE geometry in Alexandria and CuKα.
Intensities are scaled so that the largest is 100.

Atomic structure:
```
data_LaSc2TaO8
_chemical_formula_sum 'La1 Sc2 Ta1 O8'
_space_group_name_H-M_alt 'P 1 2/m 1'
_space_group_IT_number 10
_space_group_name_Hall '-P 2y'
_cell_length_a 4.801
_cell_length_b 7.071
_cell_length_c 4.813
_cell_angle_alpha 90.00
_cell_angle_beta 90.09
_cell_angle_gamma 90.00
loop_
_atom_site_label
_atom_site_type_symbol
_atom_site_fract_x
_atom_site_fract_y
_atom_site_fract_z
La1 La 0.000 0.000 0.000
Sc1 Sc 0.500 0.292 0.500
Ta1 Ta 0.000 0.500 0.000
O1 O 0.194 0.283 0.809
O2 O 0.294 0.500 0.297
O3 O 0.385 0.000 0.392
```

Most intense lines, 10 to 90 degrees two-theta, in order of rising 2θ:
4.807 Å, intensity 52, hkl 1 0 0
3.536 Å, intensity 17, hkl 0 2 0
3.399 Å, intensity 100, hkl 1 0 1
2.848 Å, intensity 73, hkl 1 2 0
2.451 Å, intensity 31, hkl 1 2 -1
2.404 Å, intensity 23, hkl 0 0 2
1.988 Å, intensity 16, hkl 0 2 2
1.837 Å, intensity 45, hkl 2 2 -1

=====

6.
Diffraction record for LaSc2UO8. The powder X-ray diffraction pattern is simulated, not measured: it uses the PBE geometry in Alexandria and CuKα.
Intensities are scaled so that the largest is 100.

Atomic structure:
```
data_LaSc2UO8
_chemical_formula_sum 'La2 Sc4 U2 O16'
_space_group_name_H-M_alt 'C m m m'
_space_group_IT_number 65
_space_group_name_Hall '-C 2 2'
_cell_length_a 6.930
_cell_length_b 6.938
_cell_length_c 7.102
_cell_angle_alpha 90.00
_cell_angle_beta 90.00
_cell_angle_gamma 90.00
loop_
_atom_site_label
_atom_site_type_symbol
_atom_site_fract_x
_atom_site_fract_y
_atom_site_fract_z
La1 La 0.000 0.000 0.000
Sc1 Sc 0.000 0.500 0.264
U1 U 0.000 0.000 0.500
O1 O 0.000 0.196 0.280
O2 O 0.164 0.500 0.000
O3 O 0.195 0.500 0.500
```

Most intense lines, 10 to 90 degrees two-theta, in order of rising 2θ:
4.903 Å, intensity 68, hkl 1 1 0
3.467 Å, intensity 100, hkl 2 0 0
2.876 Å, intensity 88, hkl 1 1 2
2.481 Å, intensity 33, hkl 0 2 2
2.451 Å, intensity 23, hkl 2 2 0
2.192 Å, intensity 21, hkl 3 1 0
1.866 Å, intensity 71, hkl 3 1 2
1.485 Å, intensity 21, hkl 3 3 2

=====

7.
Diffraction record for La2Se2O. The powder X-ray diffraction pattern is simulated, not measured: it uses the PBE geometry in Alexandria and CuKα.
Intensities are scaled so that the largest is 100.

Atomic structure:
```
data_La2Se2O
_chemical_formula_sum 'La8 Se8 O4'
_space_group_name_H-M_alt 'C m c 21'
_space_group_IT_number 36
_space_group_name_Hall 'C 2c -2'
_cell_length_a 4.164
_cell_length_b 16.695
_cell_length_c 7.466
_cell_angle_alpha 90.00
_cell_angle_beta 90.00
_cell_angle_gamma 90.00
loop_
_atom_site_label
_atom_site_type_symbol
_atom_site_fract_x
_atom_site_fract_y
_atom_site_fract_z
La1 La 0.000 0.068 0.000
La2 La 0.000 0.341 0.112
Se1 Se 0.000 0.294 0.507
Se2 Se 0.000 0.465 0.811
O1 O 0.000 0.111 0.704
```

Most intense lines, 10 to 90 degrees two-theta, in order of rising 2θ:
3.733 Å, intensity 32, hkl 0 0 2
3.643 Å, intensity 46, hkl 0 4 1
3.334 Å, intensity 34, hkl 1 3 0
3.044 Å, intensity 100, hkl 1 3 1
2.606 Å, intensity 66, hkl 1 5 0
2.487 Å, intensity 73, hkl 1 3 2
2.385 Å, intensity 40, hkl 0 2 3
2.082 Å, intensity 36, hkl 2 0 0

=====

8.
Diffraction record for La2Se2O. The powder X-ray diffraction pattern is simulated, not measured: it uses the PBE geometry in Alexandria and CuKα.
Intensities are scaled so that the largest is 100.

Atomic structure:
```
data_La2Se2O
_chemical_formula_sum 'La8 Se8 O4'
_space_group_name_H-M_alt 'P n m a'
_space_group_IT_number 62
_space_group_name_Hall '-P 2ac 2n'
_cell_length_a 16.643
_cell_length_b 4.187
_cell_length_c 7.379
_cell_angle_alpha 90.00
_cell_angle_beta 90.00
_cell_angle_gamma 90.00
loop_
_atom_site_label
_atom_site_type_symbol
_atom_site_fract_x
_atom_site_fract_y
_atom_site_fract_z
La1 La 0.037 0.250 0.200
La2 La 0.166 0.250 0.759
Se1 Se 0.103 0.750 0.510
Se2 Se 0.175 0.750 0.049
O1 O 0.033 0.250 0.871
```

Most intense lines, 10 to 90 degrees two-theta, in order of rising 2θ:
3.624 Å, intensity 46, hkl 4 0 1
3.336 Å, intensity 76, hkl 2 1 1
3.044 Å, intensity 24, hkl 3 1 1
3.034 Å, intensity 21, hkl 5 0 1
2.740 Å, intensity 26, hkl 4 1 1
2.627 Å, intensity 100, hkl 2 1 2
2.117 Å, intensity 20, hkl 4 0 3
2.094 Å, intensity 29, hkl 0 2 0

=====

9.
Diffraction record for LaSeO4. The powder X-ray diffraction pattern is simulated, not measured: it uses the PBE geometry in Alexandria and CuKα.
Intensities are scaled so that the largest is 100.

Atomic structure:
```
data_LaSeO4
_chemical_formula_sum 'La4 Se4 O16'
_space_group_name_H-M_alt 'I 41/a m d'
_space_group_IT_number 141
_cell_length_a 7.605
_cell_length_b 7.605
_cell_length_c 6.731
_cell_angle_alpha 90.00
_cell_angle_beta 90.00
_cell_angle_gamma 90.00
loop_
_space_group_symop_operation_xyz
'x,y,z'
'-x,-y,-z'
'-y+1/4,x+3/4,z+1/4'
'y+1/4,-x+3/4,-z+1/4'
'-x+1/2,-y,z+1/2'
'x+1/2,y,-z+1/2'
'y+1/4,-x+1/4,z+3/4'
'-y+1/4,x+1/4,-z+3/4'
'x,-y,-z'
'-x,y,z'
'-y+1/4,-x+1/4,-z+3/4'
'y+1/4,x+1/4,z+3/4'
'-x+1/2,y,-z+1/2'
'x+1/2,-y,z+1/2'
'y+1/4,x+3/4,-z+1/4'
'-y+1/4,-x+3/4,z+1/4'
'x+1/2,y+1/2,z+1/2'
'-x+1/2,-y+1/2,-z+1/2'
'-y+3/4,x+1/4,z+3/4'
'y+3/4,-x+1/4,-z+3/4'
'-x,-y+1/2,z'
'x,y+1/2,-z'
'y+3/4,-x+3/4,z+1/4'
'-y+3/4,x+3/4,-z+1/4'
'x+1/2,-y+1/2,-z+1/2'
'-x+1/2,y+1/2,z+1/2'
'-y+3/4,-x+3/4,-z+1/4'
'y+3/4,x+3/4,z+1/4'
'-x,y+1/2,-z'
'x,-y+1/2,z'
'y+3/4,x+1/4,-z+3/4'
'-y+3/4,-x+1/4,z+3/4'
loop_
_atom_site_label
_atom_site_type_symbol
_atom_site_fract_x
_atom_site_fract_y
_atom_site_fract_z
La1 La 0.000 0.250 0.375
Se1 Se 0.000 0.250 0.875
O1 O 0.000 0.073 0.695
```

Most intense lines, 10 to 90 degrees two-theta, in order of rising 2θ:
3.802 Å, intensity 100, hkl 2 0 0
2.853 Å, intensity 69, hkl 1 1 2
2.689 Å, intensity 23, hkl 2 2 0
1.957 Å, intensity 61, hkl 3 1 2
1.901 Å, intensity 15, hkl 4 0 0
1.700 Å, intensity 14, hkl 4 2 0
1.582 Å, intensity 19, hkl 3 3 2
1.364 Å, intensity 14, hkl 5 1 2

=====

10.
Diffraction record for La4Se5O. The powder X-ray diffraction pattern is simulated, not measured: it uses the PBE geometry in Alexandria and CuKα.
Intensities are scaled so that the largest is 100.

Atomic structure:
```
data_La4Se5O
_chemical_formula_sum 'La8 Se10 O2'
_space_group_name_H-M_alt 'I m m m'
_space_group_IT_number 71
_space_group_name_Hall '-I 2 2'
_cell_length_a 4.037
_cell_length_b 7.842
_cell_length_c 18.597
_cell_angle_alpha 90.00
_cell_angle_beta 90.00
_cell_angle_gamma 90.00
loop_
_atom_site_label
_atom_site_type_symbol
_atom_site_fract_x
_atom_site_fract_y
_atom_site_fract_z
La1 La 0.000 0.000 0.218
La2 La 0.000 0.281 0.500
Se1 Se 0.000 0.255 0.340
Se2 Se 0.000 0.500 0.000
O1 O 0.000 0.000 0.000
```

Most intense lines, 10 to 90 degrees two-theta, in order of rising 2θ:
4.649 Å, intensity 36, hkl 0 0 4
3.945 Å, intensity 32, hkl 1 0 1
3.351 Å, intensity 78, hkl 1 1 2
3.099 Å, intensity 34, hkl 0 0 6
2.781 Å, intensity 100, hkl 1 2 1
2.432 Å, intensity 33, hkl 0 2 6
2.244 Å, intensity 76, hkl 1 2 5
2.219 Å, intensity 36, hkl 1 0 7